No. 1
Starting from a DFT-relaxed cell (GGA-PBE, OQMD), the X-ray diffraction stick pattern of AlPd was calculated for CuKα.

Top 10 peaks for 10 to 90 degrees two-theta, by intensity:
41.4°, intensity 100; 41.7°, intensity 61; 29.0°, intensity 59; 24.1°, intensity 29; 38.2°, intensity 24; 49.4°, intensity 16; 68.4°, intensity 16; 77.9°, intensity 14; 50.8°, intensity 14; 68.7°, intensity 14

Crystal structure
```
data_AlPd
_space_group_name_H-M_alt 'P 1'
_space_group_IT_number 1
_space_group_name_Hall 'P 1'
_cell_length_a 9.2536
_cell_length_b 9.2536
_cell_length_c 9.2536
_cell_angle_alpha 116.45
_cell_angle_beta 116.45
_cell_angle_gamma 116.45
loop_
_atom_site_label
_atom_site_fract_x
_atom_site_fract_y
_atom_site_fract_z
Al1 0.0000 0.0000 0.0000
Al2 0.0974 0.6537 0.2526
Al3 0.1525 0.4438 0.4009
Al4 0.2526 0.0974 0.6537
Al5 0.3463 0.7474 0.9026
Al6 0.4009 0.1525 0.4438
Al7 0.4438 0.4009 0.1525
Al8 0.5562 0.5991 0.8475
Al9 0.5991 0.8475 0.5562
Al10 0.6537 0.2526 0.0974
Al11 0.7474 0.9026 0.3463
Al12 0.8475 0.5562 0.5990
Al13 0.9026 0.3463 0.7474
Pd1 0.0558 0.0979 0.3443
Pd2 0.0979 0.3443 0.0558
Pd3 0.1555 0.7517 0.5984
Pd4 0.2483 0.4016 0.8445
Pd5 0.3443 0.0558 0.0979
Pd6 0.4016 0.8445 0.2483
Pd7 0.5000 0.5000 0.5000
Pd8 0.5984 0.1555 0.7517
Pd9 0.6557 0.9442 0.9021
Pd10 0.7517 0.5984 0.1555
Pd11 0.8445 0.2483 0.4016
Pd12 0.9021 0.6557 0.9442
Pd13 0.9442 0.9021 0.6557
```

No. 2
Starting from a DFT-relaxed cell (GGA-PBE, OQMD), the X-ray diffraction stick pattern of Al3Pd was calculated for CuKα.

Top 10 peaks for 10 to 90 degrees two-theta, by intensity:
39.4°, intensity 100; 25.2°, intensity 60; 46.1°, intensity 31; 80.9°, intensity 28; 22.1°, intensity 21; 66.5°, intensity 21; 40.7°, intensity 17; 45.1°, intensity 17; 32.2°, intensity 16; 53.3°, intensity 15

Crystal structure
```
data_Al3Pd
_space_group_name_H-M_alt 'P 1'
_space_group_IT_number 1
_space_group_name_Hall 'P 1'
_cell_length_a 4.8928
_cell_length_b 4.8928
_cell_length_c 4.8928
_cell_angle_alpha 132.58
_cell_angle_beta 132.58
_cell_angle_gamma 69.32
loop_
_atom_site_label
_atom_site_fract_x
_atom_site_fract_y
_atom_site_fract_z
Al1 0.0000 0.0000 0.0000
Al2 0.2500 0.7500 0.5000
Al3 0.7500 0.2500 0.5000
Pd1 0.5000 0.5000 0.0000
```

No. 3
Starting from a DFT-relaxed cell (GGA-PBE, OQMD), the X-ray diffraction stick pattern of PrAlPdPt was calculated for CuKα.

Top 10 peaks for 10 to 90 degrees two-theta, by intensity:
36.4°, intensity 100; 41.0°, intensity 57; 23.3°, intensity 47; 55.9°, intensity 29; 71.6°, intensity 28; 72.4°, intensity 15; 74.6°, intensity 10; 62.2°, intensity 8; 47.7°, intensity 7; 88.8°, intensity 6

Crystal structure
```
data_PrAlPdPt
_space_group_name_H-M_alt 'P 1'
_space_group_IT_number 1
_space_group_name_Hall 'P 1'
_cell_length_a 4.4057
_cell_length_b 4.4057
_cell_length_c 9.7256
_cell_angle_alpha 90.00
_cell_angle_beta 90.00
_cell_angle_gamma 120.00
loop_
_atom_site_label
_atom_site_fract_x
_atom_site_fract_y
_atom_site_fract_z
Pr1 0.0000 0.0000 0.0000
Pr2 0.3333 0.6667 0.5000
Al1 0.6667 0.3333 0.2439
Al2 0.6667 0.3333 0.7561
Pd1 0.0000 0.0000 0.3263
Pd2 0.0000 0.0000 0.6737
Pt1 0.3333 0.6667 0.1850
Pt2 0.3333 0.6667 0.8150
```

No. 4
Starting from a DFT-relaxed cell (GGA-PBE, OQMD), the X-ray diffraction stick pattern of Pr2Al2Pd3Pt was calculated for CuKα.

Top 10 peaks for 10 to 90 degrees two-theta, by intensity:
36.5°, intensity 100; 40.9°, intensity 57; 23.3°, intensity 43; 56.0°, intensity 29; 71.6°, intensity 27; 72.6°, intensity 14; 74.5°, intensity 10; 62.5°, intensity 8; 47.6°, intensity 6; 88.7°, intensity 6

Crystal structure
```
data_Pr2Al2Pd3Pt
_space_group_name_H-M_alt 'P 1'
_space_group_IT_number 1
_space_group_name_Hall 'P 1'
_cell_length_a 4.4099
_cell_length_b 4.4099
_cell_length_c 9.6806
_cell_angle_alpha 90.00
_cell_angle_beta 90.00
_cell_angle_gamma 120.00
loop_
_atom_site_label
_atom_site_fract_x
_atom_site_fract_y
_atom_site_fract_z
Pr1 0.0000 0.0000 0.0000
Pr2 0.3333 0.6667 0.4966
Al1 0.6667 0.3333 0.2407
Al2 0.6667 0.3333 0.7465
Pd1 0.0000 0.0000 0.3233
Pd2 0.0000 0.0000 0.6764
Pd3 0.3333 0.6667 0.8151
Pt1 0.3333 0.6667 0.1787
```

No. 5
Starting from a DFT-relaxed cell (GGA-PBE, OQMD), the X-ray diffraction stick pattern of Pr2AlTlPd4 was calculated for CuKα.

Top 10 peaks for 10 to 90 degrees two-theta, by intensity:
36.6°, intensity 100; 39.5°, intensity 86; 55.0°, intensity 31; 69.8°, intensity 30; 29.6°, intensity 29; 24.4°, intensity 24; 64.0°, intensity 16; 71.7°, intensity 15; 85.1°, intensity 9; 77.9°, intensity 9

Crystal structure
```
data_Pr2AlTlPd4
_space_group_name_H-M_alt 'P 1'
_space_group_IT_number 1
_space_group_name_Hall 'P 1'
_cell_length_a 4.5614
_cell_length_b 4.5614
_cell_length_c 9.3873
_cell_angle_alpha 90.00
_cell_angle_beta 90.00
_cell_angle_gamma 120.00
loop_
_atom_site_label
_atom_site_fract_x
_atom_site_fract_y
_atom_site_fract_z
Pr1 0.3333 0.6667 0.2537
Pr2 0.6667 0.3333 0.7463
Al1 0.0000 0.0000 0.5000
Tl1 0.0000 0.0000 0.0000
Pd1 0.3333 0.6667 0.5727
Pd2 0.3333 0.6667 0.9080
Pd3 0.6667 0.3333 0.0920
Pd4 0.6667 0.3333 0.4273
```

No. 6
Starting from a DFT-relaxed cell (GGA-PBE, OQMD), the X-ray diffraction stick pattern of Al4Pd3Pt was calculated for CuKα.

Top 10 peaks for 10 to 90 degrees two-theta, by intensity:
41.1°, intensity 100; 41.2°, intensity 99; 25.8°, intensity 67; 45.3°, intensity 62; 31.6°, intensity 55; 25.7°, intensity 37; 72.0°, intensity 31; 45.5°, intensity 27; 36.7°, intensity 20; 72.1°, intensity 16

Crystal structure
```
data_Al4Pd3Pt
_space_group_name_H-M_alt 'P 1'
_space_group_IT_number 1
_space_group_name_Hall 'P 1'
_cell_length_a 4.9018
_cell_length_b 4.9018
_cell_length_c 4.9018
_cell_angle_alpha 90.23
_cell_angle_beta 90.23
_cell_angle_gamma 90.23
loop_
_atom_site_label
_atom_site_fract_x
_atom_site_fract_y
_atom_site_fract_z
Al1 0.0000 0.0000 0.0000
Al2 0.1897 0.5013 0.6892
Al3 0.5013 0.6892 0.1897
Al4 0.6892 0.1897 0.5013
Pd1 0.1949 0.9950 0.4912
Pd2 0.4912 0.1949 0.9950
Pd3 0.9950 0.4912 0.1949
Pt1 0.6956 0.6956 0.6956
```

No. 7
Starting from a DFT-relaxed cell (GGA-PBE, OQMD), the X-ray diffraction stick pattern of SmAl2Pd2Pt was calculated for CuKα.

Top 10 peaks for 10 to 90 degrees two-theta, by intensity:
39.6°, intensity 100; 28.2°, intensity 63; 33.7°, intensity 33; 41.4°, intensity 28; 19.2°, intensity 26; 64.2°, intensity 24; 54.4°, intensity 20; 74.3°, intensity 16; 44.4°, intensity 15; 38.9°, intensity 13

Crystal structure
```
data_SmAl2Pd2Pt
_space_group_name_H-M_alt 'P 1'
_space_group_IT_number 1
_space_group_name_Hall 'P 1'
_cell_length_a 5.3445
_cell_length_b 5.3445
_cell_length_c 4.3579
_cell_angle_alpha 90.00
_cell_angle_beta 90.00
_cell_angle_gamma 120.27
loop_
_atom_site_label
_atom_site_fract_x
_atom_site_fract_y
_atom_site_fract_z
Sm1 0.0000 0.0000 0.0000
Al1 0.0000 0.5000 0.5000
Al2 0.5000 0.0000 0.5000
Pd1 0.3137 0.6863 0.0000
Pd2 0.6863 0.3137 0.0000
Pt1 0.5000 0.5000 0.5000
```

No. 8
Starting from a DFT-relaxed cell (GGA-PBE, OQMD), the X-ray diffraction stick pattern of SmAlPd2Pt2 was calculated for CuKα.

Top 10 peaks for 10 to 90 degrees two-theta, by intensity:
38.3°, intensity 100; 28.7°, intensity 70; 40.5°, intensity 50; 40.6°, intensity 49; 20.3°, intensity 42; 38.5°, intensity 41; 43.7°, intensity 33; 34.8°, intensity 28; 57.2°, intensity 27; 87.5°, intensity 22

Crystal structure
```
data_SmAlPd2Pt2
_space_group_name_H-M_alt 'P 1'
_space_group_IT_number 1
_space_group_name_Hall 'P 1'
_cell_length_a 5.1697
_cell_length_b 5.1697
_cell_length_c 4.4458
_cell_angle_alpha 90.00
_cell_angle_beta 90.00
_cell_angle_gamma 115.17
loop_
_atom_site_label
_atom_site_fract_x
_atom_site_fract_y
_atom_site_fract_z
Sm1 0.0000 0.0000 0.0000
Al1 0.5000 0.5000 0.5000
Pd1 0.3399 0.6601 0.0000
Pd2 0.6601 0.3399 0.0000
Pt1 0.0000 0.5000 0.5000
Pt2 0.5000 0.0000 0.5000
```

No. 9
Starting from a DFT-relaxed cell (GGA-PBE, OQMD), the X-ray diffraction stick pattern of Tm2Al4PdPt was calculated for CuKα.

Top 10 peaks for 10 to 90 degrees two-theta, by intensity:
36.4°, intensity 100; 34.5°, intensity 68; 25.7°, intensity 57; 22.7°, intensity 50; 38.0°, intensity 48; 52.6°, intensity 28; 42.4°, intensity 28; 58.2°, intensity 28; 50.3°, intensity 19; 53.8°, intensity 15

Crystal structure
```
data_Tm2Al4PdPt
_space_group_name_H-M_alt 'P 1'
_space_group_IT_number 1
_space_group_name_Hall 'P 1'
_cell_length_a 6.9423
_cell_length_b 5.4733
_cell_length_c 5.4733
_cell_angle_alpha 45.80
_cell_angle_beta 90.00
_cell_angle_gamma 90.00
loop_
_atom_site_label
_atom_site_fract_x
_atom_site_fract_y
_atom_site_fract_z
Tm1 0.0000 0.0000 0.0000
Tm2 0.5000 0.1436 0.1436
Al1 0.1971 0.7134 0.7134
Al2 0.3025 0.4322 0.4322
Al3 0.6975 0.4322 0.4322
Al4 0.8029 0.7134 0.7134
Pd1 0.5000 0.8613 0.8613
Pt1 0.0000 0.2837 0.2837
```

No. 10
Starting from a DFT-relaxed cell (GGA-PBE, OQMD), the X-ray diffraction stick pattern of YAlPdPt was calculated for CuKα.

Top 10 peaks for 10 to 90 degrees two-theta, by intensity:
37.7°, intensity 100; 41.5°, intensity 58; 23.6°, intensity 42; 57.3°, intensity 29; 73.2°, intensity 28; 75.6°, intensity 15; 75.7°, intensity 10; 25.5°, intensity 9; 65.4°, intensity 9; 46.1°, intensity 8

Crystal structure
```
data_YAlPdPt
_space_group_name_H-M_alt 'P 1'
_space_group_IT_number 1
_space_group_name_Hall 'P 1'
_cell_length_a 4.3516
_cell_length_b 4.3516
_cell_length_c 9.2499
_cell_angle_alpha 90.00
_cell_angle_beta 90.00
_cell_angle_gamma 120.00
loop_
_atom_site_label
_atom_site_fract_x
_atom_site_fract_y
_atom_site_fract_z
Y1 0.3333 0.6667 0.2537
Y2 0.6667 0.3333 0.7463
Al1 0.0000 0.0000 0.0000
Al2 0.0000 0.0000 0.5000
Pd1 0.3333 0.6667 0.9215
Pd2 0.6667 0.3333 0.0785
Pt1 0.3333 0.6667 0.5832
Pt2 0.6667 0.3333 0.4168
```

No. 11
Starting from a DFT-relaxed cell (GGA-PBE, OQMD), the X-ray diffraction stick pattern of Y2AlSnPd4 was calculated for CuKα.

Top 10 peaks for 10 to 90 degrees two-theta, by intensity:
37.8°, intensity 100; 40.4°, intensity 82; 56.5°, intensity 30; 71.7°, intensity 29; 23.0°, intensity 16; 73.4°, intensity 14; 66.4°, intensity 13; 30.4°, intensity 11; 25.0°, intensity 11; 19.6°, intensity 10

Crystal structure
```
data_Y2AlSnPd4
_space_group_name_H-M_alt 'P 1'
_space_group_IT_number 1
_space_group_name_Hall 'P 1'
_cell_length_a 4.4677
_cell_length_b 4.4677
_cell_length_c 9.0717
_cell_angle_alpha 90.00
_cell_angle_beta 90.00
_cell_angle_gamma 120.00
loop_
_atom_site_label
_atom_site_fract_x
_atom_site_fract_y
_atom_site_fract_z
Y1 0.3333 0.6667 0.2463
Y2 0.6667 0.3333 0.7537
Al1 0.0000 0.0000 0.0000
Sn1 0.0000 0.0000 0.5000
Pd1 0.3333 0.6667 0.5884
Pd2 0.3333 0.6667 0.9225
Pd3 0.6667 0.3333 0.0775
Pd4 0.6667 0.3333 0.4116
```

No. 12
Starting from a DFT-relaxed cell (GGA-PBE, OQMD), the X-ray diffraction stick pattern of SrAl2Pd2 was calculated for CuKα.

Top 10 peaks for 10 to 90 degrees two-theta, by intensity:
31.8°, intensity 100; 30.0°, intensity 62; 42.9°, intensity 47; 54.4°, intensity 43; 45.4°, intensity 35; 34.0°, intensity 28; 64.2°, intensity 25; 44.0°, intensity 22; 22.5°, intensity 17; 62.3°, intensity 15

Crystal structure
```
data_SrAl2Pd2
_space_group_name_H-M_alt 'P 1'
_space_group_IT_number 1
_space_group_name_Hall 'P 1'
_cell_length_a 6.4136
_cell_length_b 6.4136
_cell_length_c 6.4136
_cell_angle_alpha 141.63
_cell_angle_beta 141.63
_cell_angle_gamma 55.39
loop_
_atom_site_label
_atom_site_fract_x
_atom_site_fract_y
_atom_site_fract_z
Sr1 0.0000 0.0000 0.0000
Al1 0.2500 0.7500 0.5000
Al2 0.7500 0.2500 0.5000
Pd1 0.3744 0.3744 0.0000
Pd2 0.6256 0.6256 0.0000
```

No. 13
Starting from a DFT-relaxed cell (GGA-PBE, OQMD), the X-ray diffraction stick pattern of Sr2AlPd2 was calculated for CuKα.

Top 10 peaks for 10 to 90 degrees two-theta, by intensity:
36.2°, intensity 100; 34.4°, intensity 74; 33.4°, intensity 58; 36.3°, intensity 42; 61.6°, intensity 35; 44.0°, intensity 35; 28.5°, intensity 29; 17.9°, intensity 29; 31.7°, intensity 28; 41.6°, intensity 23

Crystal structure
```
data_Sr2AlPd2
_space_group_name_H-M_alt 'P 1'
_space_group_IT_number 1
_space_group_name_Hall 'P 1'
_cell_length_a 8.3887
_cell_length_b 6.0239
_cell_length_c 9.4012
_cell_angle_alpha 61.35
_cell_angle_beta 39.06
_cell_angle_gamma 79.58
loop_
_atom_site_label
_atom_site_fract_x
_atom_site_fract_y
_atom_site_fract_z
Sr1 0.1182 0.8818 0.2831
Sr2 0.5331 0.9669 0.3682
Sr3 0.8818 0.1182 0.7169
Sr4 0.9669 0.5331 0.1318
Al1 0.2731 0.2731 0.7269
Al2 0.5231 0.5231 0.9769
Pd1 0.4542 0.5324 0.2902
Pd2 0.5268 0.9598 0.7176
Pd3 0.5324 0.4542 0.7232
Pd4 0.9598 0.5268 0.7958
```

No. 14
Starting from a DFT-relaxed cell (GGA-PBE, OQMD), the X-ray diffraction stick pattern of Tb2Al3Pd4 was calculated for CuKα.

Top 10 peaks for 10 to 90 degrees two-theta, by intensity:
35.4°, intensity 100; 40.0°, intensity 68; 37.3°, intensity 55; 36.1°, intensity 50; 33.4°, intensity 37; 59.2°, intensity 22; 57.9°, intensity 22; 50.8°, intensity 19; 37.1°, intensity 19; 39.9°, intensity 18

Crystal structure
```
data_Tb2Al3Pd4
_space_group_name_H-M_alt 'P 1'
_space_group_IT_number 1
_space_group_name_Hall 'P 1'
_cell_length_a 8.1641
_cell_length_b 8.1641
_cell_length_c 7.6105
_cell_angle_alpha 90.00
_cell_angle_beta 90.00
_cell_angle_gamma 139.90
loop_
_atom_site_label
_atom_site_fract_x
_atom_site_fract_y
_atom_site_fract_z
Tb1 0.1078 0.8922 0.9136
Tb2 0.3922 0.6078 0.4136
Tb3 0.6078 0.3922 0.5864
Tb4 0.8922 0.1078 0.0864
Al1 0.0000 0.0000 0.5000
Al2 0.0207 0.4793 0.7500
Al3 0.4793 0.0207 0.2500
Al4 0.5000 0.5000 0.0000
Al5 0.5207 0.9793 0.7500
Al6 0.9793 0.5207 0.2500
Pd1 0.1829 0.8171 0.5210
Pd2 0.1882 0.3118 0.7500
Pd3 0.3118 0.1882 0.2500
Pd4 0.3171 0.6829 0.0210
Pd5 0.6829 0.3171 0.9790
Pd6 0.6882 0.8118 0.7500
Pd7 0.8118 0.6882 0.2500
Pd8 0.8171 0.1829 0.4790
```